Simulated X-ray powder pattern of Gd3Te2P for copper Kα, from DFT lattice parameters and positions (PBE).
Lines closer than 0.1° are merged.

Principal peaks in the range 2θ = 10–80°, in order of rising 2θ:
| d (Å) | 2θ/deg | Rel. int. | index |
| --- | --- | --- | --- |
| 3.461 | 25.7 | 15 | 0 1 1 |
| 3.026 | 29.5 | 100 | 1 0 2 |
| 2.565 | 35.0 | 12 | 0 1 3 |
| 2.172 | 41.6 | 31 | 0 1 4 |
| 2.110 | 42.9 | 37 | 1 1 0 |
| 1.731 | 52.9 | 19 | 0 2 2 |
| 1.513 | 61.3 | 10 | 2 0 4 |
| 1.369 | 68.5 | 11 | 1 1 6 |
| 1.338 | 70.4 | 16 | 2 1 2 |
| 1.230 | 77.7 | 10 | 1 2 4 |

```
data_Gd3Te2P
_chemical_formula_sum 'Gd3 Te2 P1'
_symmetry_space_group_name_H-M 'P 1'
_symmetry_Int_Tables_number 1
_symmetry_space_group_name_Hall 'P 1'
_cell_length_a 4.219
_cell_length_b 4.219
_cell_length_c 10.802
_cell_angle_alpha 90.00
_cell_angle_beta 90.00
_cell_angle_gamma 120.00
loop_
_atom_site_label
_atom_site_type_symbol
_atom_site_fract_x
_atom_site_fract_y
_atom_site_fract_z
Gd1 Gd 0.000 0.000 0.000
Gd2 Gd 0.333 0.667 0.366
Gd3 Gd 0.667 0.333 0.634
Te1 Te 0.333 0.667 0.824
Te2 Te 0.667 0.333 0.176
P1 P 0.000 0.000 0.500
```